No. 1
Computed PXRD pattern of Tm3Tl2ZnCuAu2 for CuKα, from a cell relaxed with PBE.
Intensities are scaled so that the largest is 100.

```
data_Tm3Tl2ZnCuAu2
_chemical_formula_sum 'Tm6 Tl4 Zn2 Cu2 Au4'
_symmetry_space_group_name_H-M 'A m m 2'
_symmetry_Int_Tables_number 38
_cell_length_a 3.749
_cell_length_b 13.448
_cell_length_c 7.677
_cell_angle_alpha 90.00
_cell_angle_beta 90.00
_cell_angle_gamma 90.00
loop_
_symmetry_equiv_pos_as_xyz
'x,y,z'
'-x,-y,z'
'-x,y,z'
'x,-y,z'
'x,y+1/2,z+1/2'
'-x,-y+1/2,z+1/2'
'-x,y+1/2,z+1/2'
'x,-y+1/2,z+1/2'
loop_
_atom_site_label
_atom_site_type_symbol
_atom_site_fract_x
_atom_site_fract_y
_atom_site_fract_z
Tm1 Tm 0.000 0.000 0.000
Tm2 Tm 0.000 0.199 0.376
Tl1 Tl 0.500 0.124 0.703
Zn1 Zn 0.500 0.000 0.321
Cu1 Cu 0.000 0.000 0.547
Au1 Au 0.500 0.162 0.086
```

Principal peaks in the range 2θ from 10° to 90°, by angle:
- d 2.693, 33.3°, I 100.0, hkl 1 3 1
- d 2.682, 33.4°, I 90.6, hkl 1 0 2
- d 2.538, 35.4°, I 37.5, hkl 0 5 1
- d 2.529, 35.5°, I 41.5, hkl 0 4 2
- d 2.514, 35.7°, I 34.2, hkl 0 1 3
- d 2.503, 35.9°, I 70.5, hkl 1 4 0
- d 2.491, 36.1°, I 69.6, hkl 1 2 2
- d 2.222, 40.6°, I 47.0, hkl 0 3 3
- d 1.875, 48.6°, I 39.5, hkl 2 0 0
- d 1.507, 61.5°, I 32.5, hkl 2 4 2



No. 2
Computed PXRD pattern of Tm2CuAu3 for CuKα, from a cell relaxed with PBE.
Intensities are scaled so that the largest is 100.

```
data_Tm2CuAu3
_chemical_formula_sum 'Tm2 Cu1 Au3'
_symmetry_space_group_name_H-M 'P 4 m m'
_symmetry_Int_Tables_number 99
_cell_length_a 3.665
_cell_length_b 3.665
_cell_length_c 8.888
_cell_angle_alpha 90.00
_cell_angle_beta 90.00
_cell_angle_gamma 90.00
loop_
_symmetry_equiv_pos_as_xyz
'x,y,z'
'-y,x,z'
'-x,-y,z'
'y,-x,z'
'-x,y,z'
'y,x,z'
'x,-y,z'
'-y,-x,z'
loop_
_atom_site_label
_atom_site_type_symbol
_atom_site_fract_x
_atom_site_fract_y
_atom_site_fract_z
Tm1 Tm 0.000 0.000 0.000
Tm2 Tm 0.500 0.500 0.496
Cu1 Cu 0.500 0.500 0.168
Au1 Au 0.000 0.000 0.322
Au2 Au 0.000 0.000 0.661
Au3 Au 0.500 0.500 0.843
```

Principal peaks in the range 2θ from 10° to 90°, by angle:
- d 2.592, 34.6°, I 70.7, hkl 1 1 0
- d 2.304, 39.1°, I 100.0, hkl 1 0 3
- d 1.833, 49.8°, I 25.6, hkl 2 0 0
- d 1.481, 62.7°, I 6.0, hkl 0 0 6
- d 1.434, 65.0°, I 45.1, hkl 2 1 3
- d 1.296, 73.0°, I 8.2, hkl 2 2 0
- d 1.286, 73.7°, I 15.0, hkl 1 1 6
- d 1.159, 83.4°, I 11.8, hkl 3 1 0
- d 1.152, 84.0°, I 10.8, hkl 2 0 6
- d 1.129, 86.1°, I 10.9, hkl 3 0 3



No. 3
Computed PXRD pattern of Tm3Zn3Cu2Au for CuKα, from a cell relaxed with PBE.
Intensities are scaled so that the largest is 100.

```
data_Tm3Zn3Cu2Au
_chemical_formula_sum 'Tm3 Zn3 Cu2 Au1'
_symmetry_space_group_name_H-M 'P -6 2 m'
_symmetry_Int_Tables_number 189
_symmetry_space_group_name_Hall 'P -6 -2'
_cell_length_a 7.2341
_cell_length_b 7.2341
_cell_length_c 3.7558
_cell_angle_alpha 90.00
_cell_angle_beta 90.00
_cell_angle_gamma 120.00
loop_
_atom_site_label
_atom_site_type_symbol
_atom_site_fract_x
_atom_site_fract_y
_atom_site_fract_z
Tm1 Tm 0.0000 0.4077 0.0000
Zn1 Zn 0.0000 0.7310 0.5000
Cu1 Cu 0.3333 0.6667 0.5000
Au1 Au 0.0000 0.0000 0.0000
```

Principal peaks in the range 2θ from 10° to 90°, by angle:
- d 3.132, 28.5°, I 32.9, hkl 2 0 0
- d 2.605, 34.4°, I 77.4, hkl 1 1 1
- d 2.406, 37.4°, I 100.0, hkl 2 0 1
- d 2.368, 38.0°, I 28.8, hkl 2 1 0
- d 2.088, 43.3°, I 37.8, hkl 3 0 0
- d 2.003, 45.3°, I 25.0, hkl 2 1 1
- d 1.878, 48.5°, I 21.7, hkl 0 0 2
- d 1.577, 58.5°, I 17.0, hkl 3 1 1
- d 1.396, 67.0°, I 20.1, hkl 3 0 2
- d 1.342, 70.1°, I 30.8, hkl 3 2 1



No. 4
Computed PXRD pattern of DyErAu2 for CuKα, from a cell relaxed with PBE.
Intensities are scaled so that the largest is 100.

```
data_DyErAu2
_chemical_formula_sum 'Dy2 Er2 Au4'
_symmetry_space_group_name_H-M 'P m c 21'
_symmetry_Int_Tables_number 26
_cell_length_a 4.691
_cell_length_b 5.595
_cell_length_c 7.121
_cell_angle_alpha 90.00
_cell_angle_beta 90.00
_cell_angle_gamma 90.00
loop_
_symmetry_equiv_pos_as_xyz
'x,y,z'
'-x,-y,z+1/2'
'-x,y,z'
'x,-y,z+1/2'
loop_
_atom_site_label
_atom_site_type_symbol
_atom_site_fract_x
_atom_site_fract_y
_atom_site_fract_z
Dy1 Dy 0.000 0.095 0.000
Er1 Er 0.500 0.404 0.624
Au1 Au 0.000 0.412 0.353
Au2 Au 0.500 0.091 0.271
```

Principal peaks in the range 2θ from 10° to 90°, by angle:
- d 2.836, 31.5°, I 52.8, hkl 1 0 2
- d 2.604, 34.4°, I 32.2, hkl 0 2 1
- d 2.530, 35.5°, I 100.0, hkl 1 1 2
- d 2.345, 38.4°, I 45.3, hkl 2 0 0
- d 2.276, 39.6°, I 67.9, hkl 1 2 1
- d 1.743, 52.5°, I 19.6, hkl 2 2 1
- d 1.696, 54.1°, I 20.2, hkl 0 1 4
- d 1.387, 67.5°, I 15.7, hkl 3 1 2
- d 1.375, 68.2°, I 20.2, hkl 2 1 4
- d 1.243, 76.6°, I 15.5, hkl 2 3 3